No. 1
Theoretical XRD peak list of MnInFe for λ = 1.5418 Å (Cu Kα), from a DFT-relaxed cell (PBE, the Materials Project).

a = 4.4893 Å, b = 4.4893 Å, c = 5.4624 Å
α = 90.00°, β = 90.00°, γ = 120.00°
Fractional coordinates of all 6 atoms:
Mn 0.0000 0.0000 0.0000
Mn 0.0000 0.0000 0.5000
In 0.3333 0.6667 0.2500
In 0.6667 0.3333 0.7500
Fe 0.3333 0.6667 0.7500
Fe 0.6667 0.3333 0.2500

The 6 most intense peaks (2θ = 5–70°), in order of rising 2θ:
- hkl 1 0 1, 2θ = 28.2°, intensity 23.9
- hkl 0 0 2, 2θ = 32.8°, intensity 15.7
- hkl 1 1 0, 2θ = 40.2°, intensity 100.0
- hkl 1 0 2, 2θ = 40.4°, intensity 75.9
- hkl 1 1 2, 2θ = 52.8°, intensity 23.7
- hkl 2 0 2, 2θ = 58.3°, intensity 24.0

No. 2
Theoretical XRD peak list of ZnIn2S4 for λ = 1.5418 Å (Cu Kα), from a DFT-relaxed cell (PBE, the Materials Project).

a = 3.9237 Å, b = 3.9237 Å, c = 12.6645 Å
α = 90.00°, β = 90.00°, γ = 120.00°
Fractional coordinates of all 7 atoms:
Zn 0.0000 0.0000 0.0000
In 0.3333 0.6667 0.3728
In 0.6667 0.3333 0.6895
S 0.0000 0.0000 0.2869
S 0.0000 0.0000 0.7889
S 0.3333 0.6667 0.0400
S 0.3333 0.6667 0.5668

The 6 most intense peaks (2θ = 5–70°), in order of rising 2θ:
- hkl 0 0 3, 2θ = 21.0°, intensity 62.8
- hkl 0 1 1, 2θ = 27.2°, intensity 100.0
- hkl 1 0 2, 2θ = 29.8°, intensity 58.4
- hkl 0 1 4, 2θ = 38.9°, intensity 54.8
- hkl 1 1 0, 2θ = 46.3°, intensity 47.2
- hkl 1 1 3, 2θ = 51.4°, intensity 33.3